(1)
Theoretical powder X-ray diffraction pattern of BaC2 for CuKα, from the PBE geometry in Alexandria.

a = 5.2510 Å, b = 5.2510 Å, c = 7.4601 Å
α = 90.00°, β = 90.00°, γ = 120.00°
Positions (direct):
Ba 0.0000 0.0000 0.0000
Ba 0.3333 0.6667 0.6667
Ba 0.6667 0.3333 0.3333
C 0.0000 0.0000 0.4150
C 0.0000 0.0000 0.5850
C 0.3333 0.6667 0.0817
C 0.3333 0.6667 0.2516
C 0.6667 0.3333 0.7484
C 0.6667 0.3333 0.9183

Largest 10 diffraction maxima, sorted by position, 2θ from 5° to 70°:
- 2θ 22.9, rel. 100.0
- 2θ 31.0, rel. 77.7
- 2θ 34.2, rel. 69.3
- 2θ 36.1, rel. 14.8
- 2θ 41.5, rel. 22.4
- 2θ 46.8, rel. 23.8
- 2θ 50.6, rel. 33.4
- 2θ 53.1, rel. 12.4
- 2θ 54.8, rel. 20.6
- 2θ 59.2, rel. 23.3

=====

(2)
Theoretical powder X-ray diffraction pattern of Ca3Pd2Pb2 for CuKα, from the PBE geometry in Alexandria.

a = 5.9599 Å, b = 8.5783 Å, c = 14.2570 Å
α = 90.00°, β = 90.00°, γ = 90.00°
Positions (direct):
Ca 0.1322 0.2469 0.2500
Ca 0.1322 0.2531 0.7500
Ca 0.3383 0.6059 0.0968
Ca 0.3383 0.6059 0.4032
Ca 0.3383 0.8941 0.5968
Ca 0.3383 0.8941 0.9032
Ca 0.6617 0.1059 0.0968
Ca 0.6617 0.1059 0.4032
Ca 0.6617 0.3941 0.5968
Ca 0.6617 0.3941 0.9032
Ca 0.8678 0.7469 0.2500
Ca 0.8678 0.7531 0.7500
Pd 0.1175 0.5439 0.5903
Pd 0.1175 0.5439 0.9097
Pd 0.1175 0.9561 0.0903
Pd 0.1175 0.9561 0.4097
Pd 0.8825 0.0439 0.5903
Pd 0.8825 0.0439 0.9097
Pd 0.8825 0.4561 0.0903
Pd 0.8825 0.4561 0.4097
Pb 0.1839 0.2500 0.0000
Pb 0.1839 0.2500 0.5000
Pb 0.3733 0.5970 0.7500
Pb 0.3733 0.9030 0.2500
Pb 0.6267 0.0970 0.7500
Pb 0.6267 0.4030 0.2500
Pb 0.8161 0.7500 0.0000
Pb 0.8161 0.7500 0.5000

Largest 10 diffraction maxima, sorted by position, 2θ from 5° to 70°:
- 2θ 19.2, rel. 71.3
- 2θ 19.4, rel. 79.7
- 2θ 21.6, rel. 41.5
- 2θ 22.0, rel. 80.5
- 2θ 31.8, rel. 88.7
- 2θ 32.7, rel. 42.2
- 2θ 34.8, rel. 88.3
- 2θ 37.1, rel. 100.0
- 2θ 40.9, rel. 45.3
- 2θ 42.3, rel. 36.8

=====

(3)
Theoretical powder X-ray diffraction pattern of NaLiSn6 for CuKα, from the PBE geometry in Alexandria.

a = 4.6887 Å, b = 4.6887 Å, c = 9.3646 Å
α = 90.00°, β = 90.00°, γ = 90.00°
Positions (direct):
Na 0.0000 0.0000 0.0000
Li 0.0000 0.0000 0.5000
Sn 0.0000 0.5000 0.2565
Sn 0.0000 0.5000 0.7435
Sn 0.5000 0.0000 0.2565
Sn 0.5000 0.0000 0.7435
Sn 0.5000 0.5000 0.0000
Sn 0.5000 0.5000 0.5000

Largest 10 diffraction maxima, sorted by position, 2θ from 5° to 70°:
- 2θ 18.9, rel. 22.9
- 2θ 26.9, rel. 20.1
- 2θ 33.1, rel. 100.0
- 2θ 38.4, rel. 50.4
- 2θ 43.2, rel. 11.7
- 2θ 47.5, rel. 8.8
- 2θ 55.5, rel. 35.3
- 2θ 59.1, rel. 5.9
- 2θ 66.1, rel. 42.2
- 2θ 69.5, rel. 12.2

=====

(4)
Theoretical powder X-ray diffraction pattern of CsHg2C for CuKα, from the PBE geometry in Alexandria.

a = 7.0916 Å, b = 7.0916 Å, c = 10.0702 Å
α = 90.00°, β = 90.00°, γ = 90.00°
Positions (direct):
Cs 0.0000 0.2500 0.3750
Cs 0.0000 0.7500 0.6250
Cs 0.5000 0.2500 0.1250
Cs 0.5000 0.7500 0.8750
Hg 0.0000 0.0000 0.0000
Hg 0.0000 0.5000 0.0000
Hg 0.2500 0.2500 0.7500
Hg 0.2500 0.7500 0.2500
Hg 0.5000 0.0000 0.5000
Hg 0.5000 0.5000 0.5000
Hg 0.7500 0.2500 0.7500
Hg 0.7500 0.7500 0.2500
C 0.0000 0.2500 0.8750
C 0.0000 0.7500 0.1250
C 0.5000 0.2500 0.6250
C 0.5000 0.7500 0.3750

Largest 10 diffraction maxima, sorted by position, 2θ from 5° to 70°:
- 2θ 15.3, rel. 25.3
- 2θ 25.1, rel. 19.1
- 2θ 29.5, rel. 100.0
- 2θ 30.8, rel. 59.1
- 2θ 46.9, rel. 9.5
- 2θ 47.1, rel. 28.3
- 2θ 51.4, rel. 26.0
- 2θ 51.5, rel. 12.9
- 2θ 60.5, rel. 9.0
- 2θ 61.3, rel. 17.3

=====

(5)
Theoretical powder X-ray diffraction pattern of AgPd4Au8 for CuKα, from the PBE geometry in Alexandria.

a = 4.9888 Å, b = 4.9888 Å, c = 11.9116 Å
α = 93.30°, β = 93.30°, γ = 48.83°
Positions (direct):
Ag 0.0000 0.0000 0.0000
Pd 0.1527 0.1527 0.5378
Pd 0.3815 0.3815 0.8448
Pd 0.6185 0.6185 0.1552
Pd 0.8473 0.8473 0.4622
Au 0.0741 0.0741 0.7686
Au 0.2335 0.2335 0.3106
Au 0.3092 0.3092 0.0770
Au 0.4582 0.4582 0.6130
Au 0.5418 0.5418 0.3870
Au 0.6908 0.6908 0.9230
Au 0.7665 0.7665 0.6894
Au 0.9259 0.9259 0.2314

Largest 10 diffraction maxima, sorted by position, 2θ from 5° to 70°:
- 2θ 20.5, rel. 1.6
- 2θ 24.7, rel. 1.6
- 2θ 28.4, rel. 1.6
- 2θ 38.1, rel. 100.0
- 2θ 43.9, rel. 16.8
- 2θ 44.1, rel. 16.5
- 2θ 44.8, rel. 15.9
- 2θ 64.0, rel. 10.9
- 2θ 64.5, rel. 16.0
- 2θ 64.8, rel. 5.3

=====

(6)
Theoretical powder X-ray diffraction pattern of BaSm2AuO5 for CuKα, from the PBE geometry in Alexandria.

a = 6.7480 Å, b = 6.7480 Å, c = 6.2059 Å
α = 90.00°, β = 90.00°, γ = 90.00°
Positions (direct):
Ba 0.0000 0.0000 0.0000
Ba 0.5000 0.5000 0.0000
Sm 0.1730 0.3270 0.5000
Sm 0.3270 0.8270 0.5000
Sm 0.6730 0.1730 0.5000
Sm 0.8270 0.6730 0.5000
Au 0.0000 0.5000 0.0000
Au 0.5000 0.0000 0.0000
O 0.0000 0.0000 0.5000
O 0.1445 0.6445 0.2638
O 0.1445 0.6445 0.7362
O 0.3555 0.1445 0.2638
O 0.3555 0.1445 0.7362
O 0.5000 0.5000 0.5000
O 0.6445 0.8555 0.2638
O 0.6445 0.8555 0.7362
O 0.8555 0.3555 0.2638
O 0.8555 0.3555 0.7362

Largest 10 diffraction maxima, sorted by position, 2θ from 5° to 70°:
- 2θ 18.6, rel. 13.1
- 2θ 28.8, rel. 40.2
- 2θ 30.1, rel. 100.0
- 2θ 33.0, rel. 30.8
- 2θ 37.7, rel. 23.5
- 2θ 41.8, rel. 25.0
- 2θ 44.9, rel. 14.6
- 2θ 48.1, rel. 22.6
- 2θ 51.8, rel. 22.0
- 2θ 56.5, rel. 13.3

=====

(7)
Theoretical powder X-ray diffraction pattern of Pa3Si for CuKα, from the PBE geometry in Alexandria.

a = 4.4504 Å, b = 4.4504 Å, c = 4.4504 Å
α = 90.00°, β = 90.00°, γ = 90.00°
Positions (direct):
Pa 0.0000 0.0000 0.5000
Pa 0.0000 0.5000 0.0000
Pa 0.5000 0.0000 0.0000
Si 0.5000 0.5000 0.5000

Largest 9 diffraction maxima, sorted by position, 2θ from 5° to 70°:
- 2θ 20.0, rel. 22.6
- 2θ 28.4, rel. 19.7
- 2θ 34.9, rel. 100.0
- 2θ 40.5, rel. 50.2
- 2θ 45.6, rel. 11.4
- 2θ 50.2, rel. 8.7
- 2θ 58.7, rel. 34.8
- 2θ 62.6, rel. 5.7
- 2θ 66.4, rel. 3.8

=====

(8)
Theoretical powder X-ray diffraction pattern of CsCaTlAuSe for CuKα, from the PBE geometry in Alexandria.

a = 4.3739 Å, b = 4.3739 Å, c = 10.5503 Å
α = 90.00°, β = 90.00°, γ = 120.00°
Positions (direct):
Cs 0.0000 0.0000 0.0000
Ca 0.0000 0.0000 0.3730
Tl 0.3333 0.6667 0.7002
Au 0.6667 0.3333 0.5614
Se 0.6667 0.3333 0.2345

Largest 10 diffraction maxima, sorted by position, 2θ from 5° to 70°:
- 2θ 8.4, rel. 71.6
- 2θ 16.8, rel. 21.1
- 2θ 25.0, rel. 100.0
- 2θ 29.0, rel. 69.5
- 2θ 34.8, rel. 78.3
- 2θ 41.3, rel. 55.6
- 2θ 41.7, rel. 25.0
- 2θ 48.9, rel. 16.6
- 2θ 49.4, rel. 19.3
- 2θ 55.1, rel. 21.1

=====

(9)
Theoretical powder X-ray diffraction pattern of KNiPdCl6 for CuKα, from the PBE geometry in Alexandria.

a = 6.2606 Å, b = 6.2606 Å, c = 7.0631 Å
α = 90.85°, β = 90.85°, γ = 118.06°
Positions (direct):
K 0.0000 0.0000 0.0000
Ni 0.6690 0.3310 0.5000
Pd 0.3316 0.6684 0.5000
Cl 0.3640 0.0033 0.6826
Cl 0.3652 0.3729 0.3107
Cl 0.6271 0.6348 0.6893
Cl 0.6380 0.0224 0.2935
Cl 0.9776 0.3620 0.7065
Cl 0.9967 0.6360 0.3174

Largest 10 diffraction maxima, sorted by position, 2θ from 5° to 70°:
- 2θ 12.5, rel. 100.0
- 2θ 16.0, rel. 14.5
- 2θ 20.2, rel. 31.3
- 2θ 20.7, rel. 28.2
- 2θ 20.8, rel. 28.2
- 2θ 30.2, rel. 20.6
- 2θ 31.4, rel. 31.8
- 2θ 37.2, rel. 24.2
- 2θ 38.7, rel. 43.8
- 2θ 49.5, rel. 19.5

=====

(10)
Theoretical powder X-ray diffraction pattern of B for CuKα, from the PBE geometry in Alexandria.

a = 5.0428 Å, b = 5.6155 Å, c = 6.9142 Å
α = 90.00°, β = 90.00°, γ = 90.00°
Positions (direct):
B 0.1479 0.2289 0.0000
B 0.1527 0.4075 0.2095
B 0.1527 0.4075 0.7905
B 0.1606 0.7188 0.1258
B 0.1606 0.7188 0.8742
B 0.1644 0.9919 0.5000
B 0.1703 0.4793 0.5000
B 0.3297 0.9793 0.0000
B 0.3356 0.4919 0.0000
B 0.3394 0.2188 0.3742
B 0.3394 0.2188 0.6258
B 0.3473 0.9075 0.2905
B 0.3473 0.9075 0.7095
B 0.3521 0.7289 0.5000
B 0.6479 0.2711 0.5000
B 0.6527 0.0925 0.2905
B 0.6527 0.0925 0.7095
B 0.6606 0.7812 0.3742
B 0.6606 0.7812 0.6258
B 0.6644 0.5081 0.0000
B 0.6703 0.0207 0.0000
B 0.8297 0.5207 0.5000
B 0.8356 0.0081 0.5000
B 0.8394 0.2812 0.1258
B 0.8394 0.2812 0.8742
B 0.8473 0.5925 0.2095
B 0.8473 0.5925 0.7905
B 0.8521 0.7711 0.0000

Largest 10 diffraction maxima, sorted by position, 2θ from 5° to 70°:
- 2θ 20.4, rel. 32.5
- 2θ 21.8, rel. 33.8
- 2θ 23.7, rel. 69.6
- 2θ 25.8, rel. 36.5
- 2θ 35.3, rel. 29.0
- 2θ 35.6, rel. 62.4
- 2θ 39.0, rel. 100.0
- 2θ 66.2, rel. 59.4
- 2θ 67.0, rel. 29.8
- 2θ 67.8, rel. 33.8

=====

(11)
Theoretical powder X-ray diffraction pattern of TiZnRuAu for CuKα, from the PBE geometry in Alexandria.

a = 6.2557 Å, b = 6.2557 Å, c = 6.2557 Å
α = 90.00°, β = 90.00°, γ = 90.00°
Positions (direct):
Ti 0.0000 0.0000 0.0000
Ti 0.0000 0.5000 0.5000
Ti 0.5000 0.0000 0.5000
Ti 0.5000 0.5000 0.0000
Zn 0.0000 0.0000 0.5000
Zn 0.0000 0.5000 0.0000
Zn 0.5000 0.0000 0.0000
Zn 0.5000 0.5000 0.5000
Ru 0.2500 0.2500 0.2500
Ru 0.2500 0.7500 0.7500
Ru 0.7500 0.2500 0.7500
Ru 0.7500 0.7500 0.2500
Au 0.2500 0.2500 0.7500
Au 0.2500 0.7500 0.2500
Au 0.7500 0.2500 0.2500
Au 0.7500 0.7500 0.7500

Largest 8 diffraction maxima, sorted by position, 2θ from 5° to 70°:
- 2θ 24.6, rel. 12.7
- 2θ 28.5, rel. 24.2
- 2θ 40.8, rel. 100.0
- 2θ 48.2, rel. 7.1
- 2θ 50.5, rel. 7.1
- 2θ 59.1, rel. 16.5
- 2θ 65.0, rel. 3.1
- 2θ 66.9, rel. 9.6

=====

(12)
Theoretical powder X-ray diffraction pattern of VFe2Pd9 for CuKα, from the PBE geometry in Alexandria.

a = 3.8919 Å, b = 3.8919 Å, c = 11.7006 Å
α = 90.00°, β = 90.00°, γ = 90.00°
Positions (direct):
V 0.0000 0.0000 0.0000
Fe 0.0000 0.0000 0.3351
Fe 0.0000 0.0000 0.6649
Pd 0.0000 0.5000 0.1650
Pd 0.0000 0.5000 0.5000
Pd 0.0000 0.5000 0.8350
Pd 0.5000 0.0000 0.1650
Pd 0.5000 0.0000 0.5000
Pd 0.5000 0.0000 0.8350
Pd 0.5000 0.5000 0.0000
Pd 0.5000 0.5000 0.3327
Pd 0.5000 0.5000 0.6673

Largest 8 diffraction maxima, sorted by position, 2θ from 5° to 70°:
- 2θ 22.8, rel. 6.1
- 2θ 32.5, rel. 5.0
- 2θ 40.1, rel. 100.0
- 2θ 46.6, rel. 16.1
- 2θ 46.7, rel. 32.0
- 2θ 52.5, rel. 2.7
- 2θ 58.0, rel. 2.1
- 2θ 68.1, rel. 29.8